Diffraction record for LaPaPtO6. The X-ray diffraction stick pattern is simulated, not measured: it uses DFT lattice parameters and positions (GGA-PBE) and Cu Kα (λ = 1.5418 Å).
Peak positions follow from Bragg's law for the DFT cell and can differ from measured ones.

Atomic structure:
```
data_LaPaPtO6
_cell_length_a 5.4644
_cell_length_b 5.4644
_cell_length_c 10.7163
_cell_angle_alpha 90.00
_cell_angle_beta 90.00
_cell_angle_gamma 120.00
_symmetry_space_group_name_H-M 'P -3 1 c'
_symmetry_Int_Tables_number 163
_symmetry_space_group_name_Hall '-P 3 2c'
loop_
_atom_site_label
_atom_site_type_symbol
_atom_site_fract_x
_atom_site_fract_y
_atom_site_fract_z
La1 La 0.0000 0.0000 0.0000
Pa1 Pa 0.3333 0.6667 0.2500
Pt1 Pt 0.3333 0.6667 0.7500
O1 O 0.0200 0.3628 0.6403
```

Principal peaks in the range 2θ from 5° to 70°, by intensity:
d [Å]  2θ/deg  I/Imax  h k l
3.547  25.11  100  1 0 2
1.913  47.53  54  1 1 4
2.732  32.78  54  1 1 0
5.358  16.54  33  0 0 2
2.165  41.73  26  2 0 2
1.697  54.05  25  2 1 2
2.434  36.93  25  1 1 2
1.577  58.51  16  3 0 0
2.679  33.45  14  0 0 4
1.359  69.10  12  3 0 4
1.671  54.95  12  1 0 6
1.426  65.48  7  2 0 6

Diffraction record for PmGa6Ni. The X-ray diffraction stick pattern is simulated, not measured: it uses DFT lattice parameters and positions (GGA-PBE) and Cu Kα (λ = 1.5418 Å).
Peak positions follow from Bragg's law for the DFT cell and can differ from measured ones.

Atomic structure:
```
data_PmGa6Ni
_cell_length_a 4.244
_cell_length_b 4.244
_cell_length_c 8.048
_cell_angle_alpha 90.00
_cell_angle_beta 90.00
_cell_angle_gamma 90.00
_symmetry_space_group_name_H-M 'P 4/m m m'
_symmetry_Int_Tables_number 123
_symmetry_space_group_name_Hall '-P 4 2'
loop_
_atom_site_label
_atom_site_type_symbol
_atom_site_fract_x
_atom_site_fract_y
_atom_site_fract_z
Pm1 Pm 0.000 0.000 0.000
Ga1 Ga 0.000 0.500 0.336
Ga2 Ga 0.500 0.500 0.149
Ni1 Ni 0.000 0.000 0.500
```

Principal peaks in the range 2θ from 5° to 70°, by intensity:
d [Å]  2θ/deg  I/Imax  h k l
2.812  31.83  100  1 1 1
2.122  42.61  93  2 0 0
2.920  30.62  71  1 0 2
2.406  37.38  59  1 1 2
2.000  45.34  44  1 1 3
1.500  61.84  30  2 2 0
1.818  50.18  30  1 0 4
1.717  53.37  29  2 1 2
2.268  39.75  26  1 0 3
1.381  67.89  23  2 1 4
1.549  59.68  16  2 1 3
1.671  54.94  13  1 1 4

Diffraction record for Cd2AsO. The X-ray diffraction stick pattern is simulated, not measured: it uses DFT lattice parameters and positions (GGA-PBE) and Cu Kα (λ = 1.5418 Å).
Peak positions follow from Bragg's law for the DFT cell and can differ from measured ones.

Atomic structure:
```
data_Cd2AsO
_cell_length_a 5.823
_cell_length_b 7.950
_cell_length_c 7.039
_cell_angle_alpha 90.00
_cell_angle_beta 90.00
_cell_angle_gamma 90.00
_symmetry_space_group_name_H-M 'P n a 21'
_symmetry_Int_Tables_number 33
loop_
_symmetry_equiv_pos_as_xyz
'x,y,z'
'-x,-y,z+1/2'
'-x+1/2,y+1/2,z+1/2'
'x+1/2,-y+1/2,z'
loop_
_atom_site_label
_atom_site_type_symbol
_atom_site_fract_x
_atom_site_fract_y
_atom_site_fract_z
Cd1 Cd 0.037 0.110 0.000
Cd2 Cd 0.054 0.555 0.876
As1 As 0.088 0.201 0.623
O1 O 0.087 0.634 0.582
```

Principal peaks in the range 2θ from 5° to 70°, by intensity:
d [Å]  2θ/deg  I/Imax  h k l
2.975  30.04  100  1 2 1
2.817  31.77  80  1 1 2
2.911  30.71  62  2 0 0
2.635  34.02  41  0 2 2
3.520  25.31  31  0 0 2
2.412  37.28  31  1 3 0
1.817  50.21  31  1 4 1
2.250  40.07  25  0 1 3
2.480  36.22  24  0 3 1
2.690  33.30  23  2 0 1
1.648  55.78  23  1 1 4
3.283  27.16  21  1 2 0

Diffraction record for Ce15Al4Ag. The X-ray diffraction stick pattern is simulated, not measured: it uses DFT lattice parameters and positions (GGA-PBE) and Cu Kα (λ = 1.5418 Å).
Peak positions follow from Bragg's law for the DFT cell and can differ from measured ones.

Atomic structure:
```
data_Ce15Al4Ag
_cell_length_a 4.673
_cell_length_b 4.673
_cell_length_c 23.528
_cell_angle_alpha 90.00
_cell_angle_beta 90.00
_cell_angle_gamma 90.00
_symmetry_space_group_name_H-M 'P 4/m m m'
_symmetry_Int_Tables_number 123
_symmetry_space_group_name_Hall '-P 4 2'
loop_
_atom_site_label
_atom_site_type_symbol
_atom_site_fract_x
_atom_site_fract_y
_atom_site_fract_z
Ce1 Ce 0.000 0.000 0.000
Ce2 Ce 0.000 0.000 0.202
Ce3 Ce 0.000 0.000 0.401
Ce4 Ce 0.000 0.500 0.104
Ce5 Ce 0.000 0.500 0.301
Ce6 Ce 0.000 0.500 0.500
Al1 Al 0.500 0.500 0.201
Al2 Al 0.500 0.500 0.400
Ag1 Ag 0.500 0.500 0.000
```

Principal peaks in the range 2θ from 5° to 70°, by intensity:
d [Å]  2θ/deg  I/Imax  h k l
2.704  33.13  100  1 1 5
2.336  38.54  33  2 0 0
1.410  66.30  27  3 1 5
1.658  55.42  22  2 0 10
2.353  38.25  17  0 0 10
1.417  65.92  13  1 1 15
1.652  55.64  11  2 2 0
1.352  69.53  11  2 2 10
3.312  26.92  11  1 1 0
4.673  18.99  8  1 0 0
4.706  18.86  4  0 0 5
2.091  43.27  4  2 1 0